# Ba2Cu2S3
Computed PXRD pattern, copper Kα. Input: DFT lattice parameters and positions (GGA-PBE).

Top 10 peaks for 2θ from 10° to 90°, in order of rising 2θ:
3.448 Å, 2θ 25.84, rel. 100.0; 3.305 Å, 2θ 26.98, rel. 63.6; 3.184 Å, 2θ 28.03, rel. 68.9; 3.084 Å, 2θ 28.95, rel. 63.1; 2.662 Å, 2θ 33.67, rel. 36.6; 2.558 Å, 2θ 35.08, rel. 23.8; 2.263 Å, 2θ 39.84, rel. 27.0; 2.167 Å, 2θ 41.68, rel. 29.4; 2.079 Å, 2θ 43.53, rel. 29.4; 1.780 Å, 2θ 51.33, rel. 23.7

```
data_Ba2Cu2S3
_space_group_name_H-M_alt 'P 1'
_space_group_IT_number 1
_cell_length_a 7.2908
_cell_length_b 7.2908
_cell_length_c 6.4556
_cell_angle_alpha 99.09
_cell_angle_beta 99.09
_cell_angle_gamma 33.13
loop_
_space_group_symop_operation_xyz
'x,y,z'
loop_
_atom_site_label
_atom_site_fract_x
_atom_site_fract_y
_atom_site_fract_z
Ba1 0.1455 0.1455 0.2269
Ba2 0.8545 0.8545 0.7731
Cu1 0.3863 0.3863 0.2251
Cu2 0.6137 0.6137 0.7749
S1 0.1751 0.1751 0.7232
S2 0.5000 0.5000 0.0000
S3 0.8249 0.8249 0.2768
```

=====

# Ba2Cu2Se2S
Computed PXRD pattern, copper Kα. Input: DFT lattice parameters and positions (GGA-PBE).

Top 10 peaks for 2θ from 10° to 90°, in order of rising 2θ:
3.359 Å, 2θ 26.54, rel. 26.2; 3.132 Å, 2θ 28.50, rel. 79.7; 3.065 Å, 2θ 29.14, rel. 74.9; 2.952 Å, 2θ 30.27, rel. 47.9; 2.832 Å, 2θ 31.59, rel. 100.0; 2.706 Å, 2θ 33.10, rel. 71.5; 2.696 Å, 2θ 33.24, rel. 43.2; 2.107 Å, 2θ 42.91, rel. 48.7; 1.801 Å, 2θ 50.70, rel. 34.0; 1.737 Å, 2θ 52.71, rel. 27.4

```
data_Ba2Cu2Se2S
_space_group_name_H-M_alt 'P 1'
_space_group_IT_number 1
_cell_length_a 6.5438
_cell_length_b 6.5438
_cell_length_c 7.8594
_cell_angle_alpha 119.44
_cell_angle_beta 119.44
_cell_angle_gamma 37.57
loop_
_space_group_symop_operation_xyz
'x,y,z'
loop_
_atom_site_label
_atom_site_fract_x
_atom_site_fract_y
_atom_site_fract_z
Ba1 0.0529 0.0529 0.3092
Ba2 0.9471 0.9471 0.6908
Cu1 0.2877 0.2877 0.9260
Cu2 0.7123 0.7123 0.0740
Se1 0.3171 0.3171 0.2779
Se2 0.6829 0.6829 0.7221
S1 0.5000 0.5000 0.0000
```

=====

# BaCuSe2S4
Computed PXRD pattern, copper Kα. Input: DFT lattice parameters and positions (GGA-PBE).

Top 10 peaks for 2θ from 10° to 90°, in order of rising 2θ:
3.371 Å, 2θ 26.44, rel. 28.8; 3.100 Å, 2θ 28.80, rel. 100.0; 2.828 Å, 2θ 31.63, rel. 12.3; 2.384 Å, 2θ 37.74, rel. 34.2; 1.890 Å, 2θ 48.16, rel. 49.8; 1.745 Å, 2θ 52.42, rel. 23.0; 1.508 Å, 2θ 61.51, rel. 9.2; 1.258 Å, 2θ 75.60, rel. 10.4; 1.212 Å, 2θ 78.96, rel. 11.3; 1.112 Å, 2θ 87.73, rel. 10.4

```
data_BaCuSe2S4
_space_group_name_H-M_alt 'P 1'
_space_group_IT_number 1
_cell_length_a 6.2751
_cell_length_b 6.2751
_cell_length_c 6.2751
_cell_angle_alpha 115.01
_cell_angle_beta 115.01
_cell_angle_gamma 98.88
loop_
_space_group_symop_operation_xyz
'x,y,z'
loop_
_atom_site_label
_atom_site_fract_x
_atom_site_fract_y
_atom_site_fract_z
Ba1 0.0000 0.0000 0.0000
Cu1 0.5000 0.5000 0.0000
Se1 0.2500 0.7500 0.5000
Se2 0.7500 0.2500 0.5000
S1 0.1392 0.1392 0.6052
S2 0.4661 0.8608 0.0000
S3 0.5339 0.5339 0.3948
S4 0.8608 0.4661 0.0000
```

=====

# BaCu2SnS4
Computed PXRD pattern, copper Kα. Input: DFT lattice parameters and positions (GGA-PBE).

Top 10 peaks for 2θ from 10° to 90°, in order of rising 2θ:
4.561 Å, 2θ 19.46, rel. 10.7; 3.835 Å, 2θ 23.19, rel. 12.2; 3.225 Å, 2θ 27.66, rel. 100.0; 2.755 Å, 2θ 32.50, rel. 10.9; 2.466 Å, 2θ 36.43, rel. 17.1; 2.280 Å, 2θ 39.52, rel. 21.7; 1.866 Å, 2θ 48.80, rel. 16.8; 1.861 Å, 2θ 48.95, rel. 19.3; 1.847 Å, 2θ 49.35, rel. 10.5; 1.755 Å, 2θ 52.11, rel. 12.5

```
data_BaCu2SnS4
_space_group_name_H-M_alt 'P 1'
_space_group_IT_number 1
_cell_length_a 6.4414
_cell_length_b 6.4414
_cell_length_c 15.8427
_cell_angle_alpha 90.00
_cell_angle_beta 90.00
_cell_angle_gamma 120.00
loop_
_space_group_symop_operation_xyz
'x,y,z'
loop_
_atom_site_label
_atom_site_fract_x
_atom_site_fract_y
_atom_site_fract_z
Ba1 0.0000 0.5737 0.1667
Ba2 0.4263 0.4263 0.5000
Ba3 0.5737 0.0000 0.8333
Cu1 0.0644 0.6305 0.4118
Cu2 0.3695 0.4339 0.7451
Cu3 0.4339 0.3695 0.2549
Cu4 0.5661 0.9356 0.0784
Cu5 0.6305 0.0644 0.5882
Cu6 0.9356 0.5661 0.9216
Sn1 0.0000 0.7047 0.6667
Sn2 0.2953 0.2953 0.0000
Sn3 0.7047 0.0000 0.3333
S1 0.0610 0.5012 0.7869
S2 0.1131 0.3484 0.3309
S3 0.2352 0.8869 0.9976
S4 0.3484 0.1131 0.6691
S5 0.4402 0.9390 0.4536
S6 0.4988 0.5598 0.1203
S7 0.5012 0.0610 0.2131
S8 0.5598 0.4988 0.8797
S9 0.6516 0.7648 0.6643
S10 0.7648 0.6516 0.3357
S11 0.8869 0.2352 0.0024
S12 0.9390 0.4402 0.5464
```

=====

# BaCu6Te6S
Computed PXRD pattern, copper Kα. Input: DFT lattice parameters and positions (GGA-PBE).

Top 10 peaks for 2θ from 10° to 90°, in order of rising 2θ:
3.144 Å, 2θ 28.38, rel. 99.3; 3.126 Å, 2θ 28.55, rel. 73.5; 3.111 Å, 2θ 28.70, rel. 100.0; 3.091 Å, 2θ 28.88, rel. 36.7; 2.852 Å, 2θ 31.37, rel. 62.1; 1.946 Å, 2θ 46.66, rel. 46.7; 1.929 Å, 2θ 47.12, rel. 30.8; 1.884 Å, 2θ 48.30, rel. 24.3; 1.871 Å, 2θ 48.67, rel. 25.8; 1.862 Å, 2θ 48.91, rel. 57.8

```
data_BaCu6Te6S
_space_group_name_H-M_alt 'P 1'
_space_group_IT_number 1
_cell_length_a 6.9292
_cell_length_b 6.9644
_cell_length_c 7.0485
_cell_angle_alpha 90.00
_cell_angle_beta 90.83
_cell_angle_gamma 90.00
loop_
_space_group_symop_operation_xyz
'x,y,z'
loop_
_atom_site_label
_atom_site_fract_x
_atom_site_fract_y
_atom_site_fract_z
Ba1 0.0000 0.0000 0.0000
Cu1 0.2898 0.3072 0.6949
Cu2 0.3103 0.6928 0.6975
Cu3 0.3174 0.3126 0.3142
Cu4 0.6826 0.3126 0.6858
Cu5 0.6897 0.6928 0.3025
Cu6 0.7102 0.3072 0.3051
Te1 0.0104 0.5029 0.2035
Te2 0.2071 0.9968 0.5012
Te3 0.5000 0.2051 0.0000
Te4 0.5000 0.7962 0.0000
Te5 0.7929 0.9968 0.4988
Te6 0.9896 0.5029 0.7965
S1 0.5000 0.5107 0.5000
```

=====

# BaCu2Te2S6
Computed PXRD pattern, copper Kα. Input: DFT lattice parameters and positions (GGA-PBE).

Top 10 peaks for 2θ from 10° to 90°, in order of rising 2θ:
6.484 Å, 2θ 13.66, rel. 100.0; 5.831 Å, 2θ 15.19, rel. 75.2; 3.408 Å, 2θ 26.15, rel. 53.8; 3.346 Å, 2θ 26.64, rel. 61.9; 3.165 Å, 2θ 28.20, rel. 68.9; 3.010 Å, 2θ 29.68, rel. 60.8; 2.554 Å, 2θ 35.14, rel. 47.4; 2.369 Å, 2θ 37.98, rel. 40.0; 2.342 Å, 2θ 38.44, rel. 36.0; 2.248 Å, 2θ 40.12, rel. 34.3

```
data_BaCu2Te2S6
_space_group_name_H-M_alt 'P 1'
_space_group_IT_number 1
_cell_length_a 6.8166
_cell_length_b 7.5060
_cell_length_c 7.5391
_cell_angle_alpha 116.91
_cell_angle_beta 91.06
_cell_angle_gamma 115.41
loop_
_space_group_symop_operation_xyz
'x,y,z'
loop_
_atom_site_label
_atom_site_fract_x
_atom_site_fract_y
_atom_site_fract_z
Ba1 0.0000 0.0000 0.0000
Cu1 0.4588 0.5785 0.3947
Cu2 0.5412 0.4215 0.6053
Te1 0.2939 0.6233 0.9603
Te2 0.7061 0.3767 0.0397
S1 0.0944 0.5087 0.2358
S2 0.2889 0.2594 0.7578
S3 0.4865 0.2216 0.2627
S4 0.5135 0.7784 0.7373
S5 0.7111 0.7406 0.2422
S6 0.9056 0.4913 0.7642
```

=====

# Ba4Cu11Te8S2
Computed PXRD pattern, copper Kα. Input: DFT lattice parameters and positions (GGA-PBE).

Top 10 peaks for 2θ from 10° to 90°, in order of rising 2θ:
8.021 Å, 2θ 11.03, rel. 47.3; 3.457 Å, 2θ 25.77, rel. 47.4; 3.144 Å, 2θ 28.38, rel. 100.0; 3.044 Å, 2θ 29.34, rel. 60.6; 2.939 Å, 2θ 30.42, rel. 40.2; 2.761 Å, 2θ 32.43, rel. 97.7; 2.542 Å, 2θ 35.31, rel. 60.4; 2.160 Å, 2θ 41.82, rel. 82.8; 1.924 Å, 2θ 47.25, rel. 61.6; 1.919 Å, 2θ 47.38, rel. 56.6

```
data_Ba4Cu11Te8S2
_space_group_name_H-M_alt 'P 1'
_space_group_IT_number 1
_cell_length_a 9.6675
_cell_length_b 4.3205
_cell_length_c 14.3633
_cell_angle_alpha 90.00
_cell_angle_beta 90.20
_cell_angle_gamma 90.00
loop_
_space_group_symop_operation_xyz
'x,y,z'
loop_
_atom_site_label
_atom_site_fract_x
_atom_site_fract_y
_atom_site_fract_z
Ba1 0.0000 0.0000 0.0000
Ba2 0.0325 0.0000 0.6774
Ba3 0.4931 0.0000 0.1787
Ba4 0.5347 0.0000 0.4930
Cu1 0.0222 0.5000 0.3904
Cu2 0.1265 0.0000 0.2440
Cu3 0.2656 0.5000 0.3240
Cu4 0.2695 0.5000 0.8202
Cu5 0.3885 0.0000 0.7402
Cu6 0.4989 0.5000 0.9238
Cu7 0.5326 0.5000 0.7464
Cu8 0.6428 0.0000 0.9302
Cu9 0.7638 0.5000 0.3361
Cu10 0.7636 0.5000 0.8510
Cu11 0.8887 0.0000 0.4283
Te1 0.1802 0.0000 0.4279
Te2 0.2057 0.5000 0.1448
Te3 0.3163 0.5000 0.6344
Te4 0.3447 0.0000 0.9261
Te5 0.6865 0.0000 0.7435
Te6 0.7141 0.5000 0.0364
Te7 0.8226 0.5000 0.5293
Te8 0.8485 0.0000 0.2459
S1 0.0162 0.5000 0.8374
S2 0.5125 0.5000 0.3375
```

=====

# Ba2VCu3S6
Computed PXRD pattern, copper Kα. Input: DFT lattice parameters and positions (GGA-PBE).

Top 10 peaks for 2θ from 10° to 90°, in order of rising 2θ:
4.295 Å, 2θ 20.68, rel. 35.2; 4.216 Å, 2θ 21.07, rel. 29.3; 3.501 Å, 2θ 25.44, rel. 55.0; 3.440 Å, 2θ 25.90, rel. 100.0; 2.957 Å, 2θ 30.22, rel. 53.7; 2.905 Å, 2θ 30.78, rel. 68.8; 2.892 Å, 2θ 30.92, rel. 29.2; 2.445 Å, 2θ 36.76, rel. 35.8; 2.300 Å, 2θ 39.17, rel. 29.2; 1.791 Å, 2θ 50.99, rel. 34.4

```
data_Ba2VCu3S6
_space_group_name_H-M_alt 'P 1'
_space_group_IT_number 1
_cell_length_a 8.8490
_cell_length_b 8.8490
_cell_length_c 10.7192
_cell_angle_alpha 125.89
_cell_angle_beta 125.89
_cell_angle_gamma 61.04
loop_
_space_group_symop_operation_xyz
'x,y,z'
loop_
_atom_site_label
_atom_site_fract_x
_atom_site_fract_y
_atom_site_fract_z
Ba1 0.1481 0.2178 0.0581
Ba2 0.2178 0.1481 0.5581
Ba3 0.7822 0.8519 0.4419
Ba4 0.8519 0.7822 0.9419
V1 0.3615 0.6385 0.7500
V2 0.6385 0.3615 0.2500
Cu1 0.3214 0.6548 0.4910
Cu2 0.3334 0.6666 0.2500
Cu3 0.3452 0.6786 0.0090
Cu4 0.6548 0.3214 0.9910
Cu5 0.6666 0.3334 0.7500
Cu6 0.6786 0.3452 0.5090
S1 0.0639 0.6914 0.2592
S2 0.1060 0.6531 0.7454
S3 0.3086 0.9361 0.2408
S4 0.3469 0.8940 0.7546
S5 0.3856 0.3857 0.0190
S6 0.3857 0.3856 0.5190
S7 0.6143 0.6144 0.4810
S8 0.6144 0.6143 0.9810
S9 0.6531 0.1060 0.2454
S10 0.6914 0.0639 0.7592
S11 0.8940 0.3469 0.2546
S12 0.9361 0.3086 0.7408
```

=====

# BaCu2Sb2Se6
Computed PXRD pattern, copper Kα. Input: DFT lattice parameters and positions (GGA-PBE).

Top 10 peaks for 2θ from 10° to 90°, in order of rising 2θ:
8.317 Å, 2θ 10.64, rel. 54.8; 6.937 Å, 2θ 12.76, rel. 100.0; 5.216 Å, 2θ 17.00, rel. 34.5; 3.914 Å, 2θ 22.72, rel. 21.6; 3.799 Å, 2θ 23.42, rel. 16.9; 3.079 Å, 2θ 29.00, rel. 57.4; 3.059 Å, 2θ 29.19, rel. 60.4; 2.707 Å, 2θ 33.09, rel. 48.2; 2.533 Å, 2θ 35.43, rel. 24.8; 2.211 Å, 2θ 40.81, rel. 35.2

```
data_BaCu2Sb2Se6
_space_group_name_H-M_alt 'P 1'
_space_group_IT_number 1
_cell_length_a 6.1841
_cell_length_b 7.4627
_cell_length_c 8.7742
_cell_angle_alpha 77.21
_cell_angle_beta 73.05
_cell_angle_gamma 69.73
loop_
_space_group_symop_operation_xyz
'x,y,z'
loop_
_atom_site_label
_atom_site_fract_x
_atom_site_fract_y
_atom_site_fract_z
Ba1 0.0000 0.0000 0.0000
Cu1 0.4535 0.1648 0.6720
Cu2 0.5465 0.8352 0.3280
Sb1 0.1256 0.2195 0.4489
Sb2 0.8744 0.7805 0.5511
Se1 0.0461 0.3654 0.7138
Se2 0.2662 0.8347 0.5886
Se3 0.4143 0.0843 0.1218
Se4 0.5857 0.9157 0.8782
Se5 0.7338 0.1653 0.4114
Se6 0.9539 0.6346 0.2862
```

=====

# BaScCu2
Computed PXRD pattern, copper Kα. Input: DFT lattice parameters and positions (GGA-PBE).

Top 10 peaks for 2θ from 10° to 90°, in order of rising 2θ:
3.675 Å, 2θ 24.21, rel. 31.5; 3.473 Å, 2θ 25.65, rel. 36.5; 3.266 Å, 2θ 27.31, rel. 29.9; 2.876 Å, 2θ 31.10, rel. 77.4; 2.737 Å, 2θ 32.72, rel. 100.0; 2.555 Å, 2θ 35.13, rel. 61.6; 2.355 Å, 2θ 38.22, rel. 49.6; 2.050 Å, 2θ 44.17, rel. 28.7; 1.910 Å, 2θ 47.61, rel. 30.0; 1.669 Å, 2θ 55.00, rel. 29.3

```
data_BaScCu2
_space_group_name_H-M_alt 'P 1'
_space_group_IT_number 1
_cell_length_a 3.8303
_cell_length_b 4.1006
_cell_length_c 6.8044
_cell_angle_alpha 90.00
_cell_angle_beta 106.29
_cell_angle_gamma 90.00
loop_
_space_group_symop_operation_xyz
'x,y,z'
loop_
_atom_site_label
_atom_site_fract_x
_atom_site_fract_y
_atom_site_fract_z
Ba1 0.0000 0.0000 0.0000
Sc1 0.2739 0.5000 0.5515
Cu1 0.6299 0.5000 0.2608
Cu2 0.7358 0.0000 0.4760
```

=====

# BaScCu3Se4
Computed PXRD pattern, copper Kα. Input: DFT lattice parameters and positions (GGA-PBE).

Top 10 peaks for 2θ from 10° to 90°, in order of rising 2θ:
4.462 Å, 2θ 19.90, rel. 18.2; 3.643 Å, 2θ 24.43, rel. 100.0; 2.576 Å, 2θ 34.83, rel. 12.3; 2.231 Å, 2θ 40.43, rel. 97.7; 1.902 Å, 2θ 47.81, rel. 43.9; 1.686 Å, 2θ 54.41, rel. 8.4; 1.577 Å, 2θ 58.51, rel. 14.5; 1.448 Å, 2θ 64.36, rel. 15.3; 1.288 Å, 2θ 73.53, rel. 26.7; 1.214 Å, 2θ 78.82, rel. 10.9

```
data_BaScCu3Se4
_space_group_name_H-M_alt 'P 1'
_space_group_IT_number 1
_cell_length_a 6.3097
_cell_length_b 6.3097
_cell_length_c 6.3097
_cell_angle_alpha 90.00
_cell_angle_beta 90.00
_cell_angle_gamma 90.00
loop_
_space_group_symop_operation_xyz
'x,y,z'
loop_
_atom_site_label
_atom_site_fract_x
_atom_site_fract_y
_atom_site_fract_z
Ba1 0.0000 0.0000 0.0000
Sc1 0.5000 0.5000 0.5000
Cu1 0.0000 0.5000 0.5000
Cu2 0.5000 0.0000 0.5000
Cu3 0.5000 0.5000 0.0000
Se1 0.2744 0.2744 0.7256
Se2 0.2744 0.7256 0.2744
Se3 0.7256 0.2744 0.2744
Se4 0.7256 0.7256 0.7256
```

=====

# BaCuSe2
Computed PXRD pattern, copper Kα. Input: DFT lattice parameters and positions (GGA-PBE).

Top 10 peaks for 2θ from 10° to 90°, in order of rising 2θ:
3.360 Å, 2θ 26.53, rel. 100.0; 2.787 Å, 2θ 32.11, rel. 73.8; 2.496 Å, 2θ 35.99, rel. 71.7; 2.272 Å, 2θ 39.68, rel. 27.2; 2.003 Å, 2θ 45.26, rel. 46.0; 1.765 Å, 2θ 51.81, rel. 24.6; 1.680 Å, 2θ 54.63, rel. 41.9; 1.491 Å, 2θ 62.27, rel. 22.0; 1.394 Å, 2θ 67.17, rel. 22.3; 1.093 Å, 2θ 89.68, rel. 19.4

```
data_BaCuSe2
_space_group_name_H-M_alt 'P 1'
_space_group_IT_number 1
_cell_length_a 4.9914
_cell_length_b 4.9914
_cell_length_c 4.5432
_cell_angle_alpha 90.00
_cell_angle_beta 90.00
_cell_angle_gamma 90.00
loop_
_space_group_symop_operation_xyz
'x,y,z'
loop_
_atom_site_label
_atom_site_fract_x
_atom_site_fract_y
_atom_site_fract_z
Ba1 0.0000 0.0000 0.0000
Cu1 0.5000 0.5000 0.5023
Se1 0.0000 0.5000 0.5004
Se2 0.5000 0.0000 0.5004
```

=====

Please write out number 3 again, unchanged.
# BaCuSe2S4
Computed PXRD pattern, copper Kα. Input: DFT lattice parameters and positions (GGA-PBE).

Top 10 peaks for 2θ from 10° to 90°, in order of rising 2θ:
3.371 Å, 2θ 26.44, rel. 28.8; 3.100 Å, 2θ 28.80, rel. 100.0; 2.828 Å, 2θ 31.63, rel. 12.3; 2.384 Å, 2θ 37.74, rel. 34.2; 1.890 Å, 2θ 48.16, rel. 49.8; 1.745 Å, 2θ 52.42, rel. 23.0; 1.508 Å, 2θ 61.51, rel. 9.2; 1.258 Å, 2θ 75.60, rel. 10.4; 1.212 Å, 2θ 78.96, rel. 11.3; 1.112 Å, 2θ 87.73, rel. 10.4

```
data_BaCuSe2S4
_space_group_name_H-M_alt 'P 1'
_space_group_IT_number 1
_cell_length_a 6.2751
_cell_length_b 6.2751
_cell_length_c 6.2751
_cell_angle_alpha 115.01
_cell_angle_beta 115.01
_cell_angle_gamma 98.88
loop_
_space_group_symop_operation_xyz
'x,y,z'
loop_
_atom_site_label
_atom_site_fract_x
_atom_site_fract_y
_atom_site_fract_z
Ba1 0.0000 0.0000 0.0000
Cu1 0.5000 0.5000 0.0000
Se1 0.2500 0.7500 0.5000
Se2 0.7500 0.2500 0.5000
S1 0.1392 0.1392 0.6052
S2 0.4661 0.8608 0.0000
S3 0.5339 0.5339 0.3948
S4 0.8608 0.4661 0.0000
```